For SiCCl3, a structure optimized by DFT (PBE) gives the simulated X-ray diffraction stick pattern in this record (CuKα).
Lines closer than 0.1° are merged.

Peak list (10 most intense, 2θ = 15–90°, by intensity)
- 2θ = 18.65°, I = 100, (0 0 2)
- 2θ = 30.61°, I = 62, (2 4 1)
- 2θ = 22.10°, I = 56, (1 3 1)
- 2θ = 29.60°, I = 48, (2 0 -3)
- 2θ = 25.81°, I = 45, (0 4 1)
- 2θ = 23.39°, I = 38, (3 1 -1)
- 2θ = 32.67°, I = 38, (4 0 1)
- 2θ = 28.11°, I = 30, (0 0 3)
- 2θ = 21.04°, I = 28, (1 3 -1)
- 2θ = 51.30°, I = 25, (6 4 -1)

Structural model:
a b c (Å): 12.201 14.816 9.654
angles (deg): 90.00 99.44 90.00
Space group C2/m (No. 12)
One atom of each set of equivalent atoms:
Si  0.105  0.000  0.314
Si  0.206  0.387  0.243
C  0.060  0.000  0.492
C  0.144  0.000  0.598
C  0.232  0.000  0.696
Cl  0.046  0.111  0.202
Cl  0.053  0.374  0.302
Cl  0.188  0.374  0.031
Cl  0.197  0.216  0.667
Cl  0.226  0.500  0.668

=====

For CdC2O4, a structure optimized by DFT (PBE) gives the simulated X-ray diffraction stick pattern in this record (CuKα).
Lines closer than 0.1° are merged.

Peak list (10 most intense, 2θ = 15–90°, by intensity)
- 2θ = 23.00°, I = 100, (0 1 1)
- 2θ = 23.18°, I = 37, (1 1 -1)
- 2θ = 34.77°, I = 24, (2 1 -1)
- 2θ = 17.88°, I = 23, (1 0 0)
- 2θ = 37.87°, I = 23, (1 2 0)
- 2θ = 34.39°, I = 21, (1 1 1)
- 2θ = 45.41°, I = 15, (1 1 -3)
- 2θ = 47.39°, I = 14, (2 2 -2)
- 2θ = 53.50°, I = 13, (1 3 -1)
- 2θ = 45.72°, I = 13, (2 1 -3)

Structural model:
a b c (Å): 5.906 5.412 6.579
angles (deg): 90.00 122.85 90.00
Space group P2_1/c (No. 14)
One atom of each set of equivalent atoms:
Cd  0.000  0.000  0.000
C  0.456  0.118  0.918
O  0.214  0.193  0.825
O  0.374  0.721  0.614

=====

For CeAl5Ni2, a structure optimized by DFT (PBE) gives the simulated X-ray diffraction stick pattern in this record (CuKα).
Lines closer than 0.1° are merged.

Peak list (10 most intense, 2θ = 15–90°, by intensity)
- 2θ = 31.97°, I = 100, (1 1 2)
- 2θ = 35.35°, I = 69, (1 2 1)
- 2θ = 49.02°, I = 45, (1 3 2)
- 2θ = 36.25°, I = 44, (1 0 3)
- 2θ = 46.14°, I = 42, (0 2 4)
- 2θ = 25.34°, I = 42, (0 2 0)
- 2θ = 15.68°, I = 35, (0 1 1)
- 2θ = 30.98°, I = 31, (0 1 3)
- 2θ = 45.56°, I = 29, (2 0 0)
- 2θ = 66.85°, I = 27, (2 2 4)

Structural model:
a b c (Å): 3.982 7.030 9.498
angles (deg): 90.00 90.00 90.00
Space group Immm (No. 71)
One atom of each set of equivalent atoms:
Ce  0.000  0.000  0.000
Al  0.000  0.190  0.344
Al  0.000  0.500  0.000
Ni  0.000  0.500  0.242

=====

For Nd2MgS4, a structure optimized by DFT (PBE) gives the simulated X-ray diffraction stick pattern in this record (CuKα).
Lines closer than 0.1° are merged.

Peak list (10 most intense, 2θ = 15–90°, by intensity)
- 2θ = 24.60°, I = 100, (0 2 0)
- 2θ = 35.52°, I = 98, (1 2 3)
- 2θ = 35.83°, I = 81, (3 1 1)
- 2θ = 22.30°, I = 69, (1 1 2)
- 2θ = 25.22°, I = 54, (1 0 3)
- 2θ = 25.91°, I = 48, (0 1 3)
- 2θ = 29.24°, I = 47, (2 1 2)
- 2θ = 40.43°, I = 40, (0 1 5)
- 2θ = 33.86°, I = 36, (2 2 1)
- 2θ = 32.96°, I = 32, (2 2 0)

Structural model:
a b c (Å): 8.232 7.238 11.727
angles (deg): 90.00 90.00 90.00
Space group Pnma (No. 62)
One atom of each set of equivalent atoms:
Nd  0.031  0.250  0.186
Nd  0.086  0.750  0.465
Mg  0.192  0.750  0.085
S  0.088  0.250  0.944
S  0.143  0.505  0.654
S  0.206  0.250  0.391

=====

For BaTa6O16, a structure optimized by DFT (PBE) gives the simulated X-ray diffraction stick pattern in this record (CuKα).
Lines closer than 0.1° are merged.

Peak list (10 most intense, 2θ = 15–90°, by intensity)
- 2θ = 22.70°, I = 100, (1 0 0)
- 2θ = 26.36°, I = 84, (0 3 1)
- 2θ = 29.03°, I = 67, (0 2 4)
- 2θ = 35.05°, I = 52, (1 3 1)
- 2θ = 37.16°, I = 43, (1 2 4)
- 2θ = 30.53°, I = 38, (0 1 5)
- 2θ = 46.35°, I = 31, (2 0 0)
- 2θ = 32.77°, I = 28, (1 0 4)
- 2θ = 30.05°, I = 27, (1 1 3)
- 2θ = 24.98°, I = 24, (1 1 1)

Structural model:
a b c (Å): 3.918 10.403 15.257
angles (deg): 90.00 90.00 90.00
Space group Amm2 (No. 38)
One atom of each set of equivalent atoms:
Ba  0.000  0.000  0.000
Ta  0.500  0.000  0.195
Ta  0.500  0.000  0.408
Ta  0.500  0.184  0.585
Ta  0.500  0.186  0.834
O  0.000  0.000  0.187
O  0.000  0.000  0.404
O  0.000  0.178  0.853
O  0.000  0.187  0.585
O  0.500  0.000  0.543
O  0.500  0.000  0.877
O  0.500  0.123  0.295
O  0.500  0.128  0.096
O  0.500  0.149  0.713
O  0.500  0.198  0.449

=====

For Nd4Ru, a structure optimized by DFT (PBE) gives the simulated X-ray diffraction stick pattern in this record (CuKα).
Lines closer than 0.1° are merged.

Peak list (10 most intense, 2θ = 15–90°, by intensity)
- 2θ = 27.82°, I = 100, (2 2 2)
- 2θ = 46.23°, I = 48, (4 4 0)
- 2θ = 54.82°, I = 38, (6 2 2)
- 2θ = 32.23°, I = 33, (4 0 0)
- 2θ = 42.27°, I = 16, (5 1 1)
- 2θ = 35.21°, I = 16, (3 3 1)
- 2θ = 74.46°, I = 13, (6 6 2)
- 2θ = 85.68°, I = 12, (8 4 4)
- 2θ = 22.64°, I = 11, (2 2 0)
- 2θ = 69.23°, I = 7, (7 3 3)

Structural model:
a b c (Å): 11.109 11.109 11.109
angles (deg): 90.00 90.00 90.00
Space group Fd-3m (No. 227, origin choice 2)
One atom of each set of equivalent atoms:
Nd  0.012  0.012  0.238
Ru  0.125  0.125  0.625

=====

For NpAs2, a structure optimized by DFT (PBE) gives the simulated X-ray diffraction stick pattern in this record (CuKα).
Lines closer than 0.1° are merged.

Peak list (10 most intense, 2θ = 15–90°, by intensity)
- 2θ = 39.10°, I = 100, (1 1 2)
- 2θ = 25.01°, I = 91, (1 0 1)
- 2θ = 45.75°, I = 52, (2 0 0)
- 2θ = 33.83°, I = 51, (1 1 1)
- 2θ = 31.91°, I = 50, (1 1 0)
- 2θ = 40.50°, I = 44, (1 0 3)
- 2θ = 33.28°, I = 36, (0 0 3)
- 2θ = 57.74°, I = 30, (2 0 3)
- 2θ = 52.85°, I = 26, (2 1 1)
- 2θ = 80.12°, I = 26, (3 1 2)

Structural model:
a b c (Å): 3.966 3.966 8.077
angles (deg): 90.00 90.00 90.00
Space group P4/nmm (No. 129, origin choice 2)
One atom of each set of equivalent atoms:
Np  0.250  0.250  0.214
As  0.250  0.250  0.856
As  0.250  0.750  0.500

=====

For Ca2Mg, a structure optimized by DFT (PBE) gives the simulated X-ray diffraction stick pattern in this record (CuKα).
Lines closer than 0.1° are merged.

Peak list (10 most intense, 2θ = 15–90°, by intensity)
- 2θ = 31.74°, I = 100, (1 1 3)
- 2θ = 29.48°, I = 27, (0 0 6)
- 2θ = 28.02°, I = 25, (1 1 0)
- 2θ = 53.74°, I = 20, (1 1 9)
- 2θ = 58.75°, I = 20, (3 0 6)
- 2θ = 49.58°, I = 17, (3 0 0)
- 2θ = 41.12°, I = 17, (1 1 6)
- 2θ = 60.08°, I = 14, (2 2 3)
- 2θ = 81.54°, I = 10, (4 1 3)
- 2θ = 82.51°, I = 7, (3 0 12)

Structural model:
a b c (Å): 6.3688 6.3688 18.1771
angles (deg): 90.00 90.00 120.00
Space group R32 (No. 155, hexagonal axes)
One atom of each set of equivalent atoms:
Ca  0.0000  0.0000  0.0000
Ca  0.0000  0.6715  0.5000
Mg  0.0000  0.0000  0.3334